Diffraction record for Na4LaTiSi2PO12. The powder diffractogram is theoretical, not measured: it uses a crystal structure in the Materials Project, relaxed with PBE and a wavelength of 1.5418 Å.
Peak positions follow from Bragg's law for the DFT cell and can differ from measured ones.

Structural model:
```
Na4LaTiSi2PO12
1.0
7.838 -4.752 0.000
7.838 4.752 0.000
-4.850 0.000 7.663
Na La Ti Si P O
8 2 2 4 2 24
Cartesian
5.413 4.164 3.832 Na
1.848 1.128 4.817 Na
4.724 2.462 6.763 Na
4.273 -1.128 0.985 Na
8.691 0.700 2.075 Na
6.266 -0.700 5.906 Na
7.149 -2.462 2.931 Na
7.838 -4.164 0.000 Na
6.255 2.403 0.298 La
3.830 -2.403 4.129 La
7.753 2.378 5.593 Ti
10.178 -2.378 1.762 Ti
-1.316 0.804 6.383 Si
1.110 -0.804 2.551 Si
12.188 0.524 0.857 Si
9.763 -0.524 4.689 Si
5.301 1.100 3.445 P
2.876 -1.100 7.276 P
2.806 1.346 0.189 O
2.200 3.168 5.886 O
1.150 0.863 2.571 O
0.194 1.343 6.388 O
3.907 1.700 2.957 O
8.268 3.346 1.201 O
-1.275 -0.863 6.403 O
0.381 -1.346 4.021 O
5.786 1.961 4.666 O
6.331 1.199 2.320 O
2.620 -1.343 2.556 O
7.648 0.382 0.008 O
5.222 -0.382 3.839 O
1.482 -1.700 6.789 O
6.843 1.292 7.126 O
3.906 -1.199 6.152 O
8.628 0.729 5.029 O
4.625 -3.168 2.054 O
8.211 -1.961 0.834 O
11.053 -0.729 1.198 O
9.268 -1.292 3.294 O
11.188 0.187 4.465 O
13.613 -0.187 0.633 O
5.843 -3.346 5.033 O
```

Largest 8 diffraction maxima, in order of falling intensity, 2θ = 5–70°:
two_theta  intensity
32.65  100
18.68  67
19.40  59
30.70  59
31.08  53
30.88  52
13.50  40
19.60  33


Diffraction record for Li5SiAs3. The powder diffractogram is theoretical, not measured: it uses a crystal structure in the Materials Project, relaxed with PBE and a wavelength of 1.5418 Å.
Peak positions follow from Bragg's law for the DFT cell and can differ from measured ones.

Structural model:
```
Li5SiAs3
1.0
6.683 -3.005 0.000
6.683 3.005 0.000
-2.701 0.000 8.108
Li Si As
10 2 6
Cartesian
1.994 1.477 7.394 Li
3.353 1.491 3.472 Li
4.657 1.509 6.081 Li
8.662 1.491 0.582 Li
7.321 1.477 4.768 Li
3.345 -1.477 3.340 Li
2.003 -1.491 7.526 Li
6.008 -1.509 2.027 Li
7.312 -1.491 4.636 Li
8.671 -1.477 0.714 Li
6.008 1.428 2.027 Si
4.657 -1.428 6.081 Si
0.000 0.000 0.000 As
-1.350 0.000 4.054 As
4.107 0.172 1.428 As
2.757 -0.172 5.482 As
7.908 0.172 2.626 As
6.558 -0.172 6.680 As
```

Largest 8 diffraction maxima, in order of falling intensity, 2θ = 5–70°:
two_theta  intensity
25.58  100
25.77  93
42.55  70
29.70  37
50.29  28
50.42  26
29.79  20
42.30  19


Diffraction record for CaAl2F8. The powder diffractogram is theoretical, not measured: it uses a crystal structure in the Materials Project, relaxed with PBE and a wavelength of 1.5418 Å.
Peak positions follow from Bragg's law for the DFT cell and can differ from measured ones.

Structural model:
```
CaAl2F8
1.0
3.366 -5.562 0.000
3.366 5.562 0.000
-0.277 0.000 7.544
Ca Al F
2 4 16
Cartesian
3.158 5.175 5.658 Ca
3.296 -5.175 1.886 Ca
1.683 2.781 0.000 Al
3.158 1.455 5.658 Al
1.544 -2.781 3.772 Al
3.296 -1.455 1.886 Al
2.811 4.210 0.230 F
1.848 2.899 5.723 F
3.782 4.210 3.542 F
1.871 0.320 5.365 F
2.860 1.681 7.467 F
2.010 -0.320 1.593 F
3.455 1.681 3.849 F
4.468 2.899 5.593 F
1.986 -2.899 1.951 F
2.999 -1.681 3.695 F
4.444 0.320 5.951 F
3.594 -1.681 0.077 F
4.583 -0.320 2.179 F
2.672 -4.210 4.002 F
4.606 -2.899 1.821 F
3.643 -4.210 7.314 F
```

Largest 8 diffraction maxima, in order of falling intensity, 2θ = 5–70°:
two_theta  intensity
19.69  100
48.25  23
42.16  23
28.59  21
40.29  18
38.62  17
27.47  15
49.38  14


Diffraction record for SiC. The powder diffractogram is theoretical, not measured: it uses a crystal structure in the Materials Project, relaxed with PBE and a wavelength of 1.5418 Å.
Peak positions follow from Bragg's law for the DFT cell and can differ from measured ones.

Structural model:
```
SiC
1.0
1.549 0.894 27.778
-1.549 0.894 27.778
0.000 -1.789 27.778
Si C
11 11
Cartesian
0.000 0.000 0.000 Si
0.000 0.000 5.052 Si
0.000 0.000 10.104 Si
0.000 0.000 20.202 Si
0.000 0.000 25.255 Si
0.000 0.000 35.356 Si
0.000 0.000 42.932 Si
0.000 0.000 50.507 Si
0.000 0.000 58.083 Si
0.000 0.000 68.183 Si
0.000 0.000 73.236 Si
0.000 0.000 1.898 C
0.000 0.000 6.948 C
0.000 0.000 12.001 C
0.000 0.000 22.100 C
0.000 0.000 27.153 C
0.000 0.000 37.259 C
0.000 0.000 44.834 C
0.000 0.000 52.410 C
0.000 0.000 59.986 C
0.000 0.000 70.080 C
0.000 0.000 75.133 C
```

Largest 8 diffraction maxima, in order of falling intensity, 2θ = 5–70°:
two_theta  intensity
35.53  100
59.71  68
35.14  39
37.72  32
38.24  28
33.84  24
34.26  18
64.92  14


Diffraction record for Nb8Pb6O25. The powder diffractogram is theoretical, not measured: it uses a crystal structure in the Materials Project, relaxed with PBE and a wavelength of 1.5418 Å.
Peak positions follow from Bragg's law for the DFT cell and can differ from measured ones.

Structural model:
```
Nb8Pb6O25
1.0
5.353 -5.378 0.000
5.353 5.378 0.000
-0.016 0.000 10.672
Nb Pb O
8 6 25
Cartesian
1.303 0.000 3.989 Nb
4.003 2.727 9.352 Nb
3.969 0.039 1.299 Nb
6.687 2.727 1.319 Nb
3.992 -2.690 3.976 Nb
6.721 0.039 9.372 Nb
6.698 -2.690 6.696 Nb
9.387 0.000 6.683 Nb
3.996 2.679 3.937 Pb
3.997 -0.018 6.733 Pb
6.694 2.679 6.734 Pb
6.693 -0.018 3.938 Pb
4.183 -2.739 9.493 Pb
6.507 -2.739 1.179 Pb
4.673 3.997 7.966 O
2.704 2.011 7.944 O
5.345 4.645 5.336 O
2.057 1.331 5.337 O
3.339 1.368 0.038 O
2.679 0.666 2.680 O
6.017 3.997 2.705 O
5.353 3.272 0.000 O
2.679 -1.335 4.735 O
5.345 1.343 5.336 O
5.354 1.322 2.093 O
5.336 1.322 8.579 O
2.735 -1.408 0.703 O
7.986 2.011 2.727 O
5.353 -0.661 0.000 O
7.351 1.368 10.634 O
4.714 -1.359 2.662 O
5.345 -1.944 5.336 O
8.633 1.331 5.334 O
5.976 -1.359 8.009 O
8.011 0.666 7.992 O
5.290 -3.997 7.304 O
8.011 -1.335 5.937 O
7.955 -1.408 9.968 O
5.400 -3.997 3.367 O
```

Largest 8 diffraction maxima, in order of falling intensity, 2θ = 5–70°:
two_theta  intensity
28.88  100
48.00  28
56.85  15
57.05  14
57.20  14
48.15  14
33.32  13
33.48  12